For Sm5Ho2Mg, a GGA-PBE-relaxed structure gives the calculated powder diffractogram in this record (Cu Kα, 1.54184 Å).

Atomic structure:
```
Sm5Ho2Mg
1.0
2.606 -5.659 0.000
2.606 5.659 0.000
0.000 0.000 17.587
Sm Ho Mg
10 4 2
direct
0.033 0.967 0.750
0.147 0.853 0.538
0.147 0.853 0.962
0.448 0.552 0.592
0.448 0.552 0.908
0.552 0.448 0.092
0.552 0.448 0.408
0.853 0.147 0.038
0.853 0.147 0.462
0.967 0.033 0.250
0.255 0.745 0.152
0.255 0.745 0.348
0.745 0.255 0.652
0.745 0.255 0.848
0.320 0.680 0.750
0.680 0.320 0.250
```

Principal peaks in the range 2θ from 15° to 90°, by angle:
d (Å)  I_rel
3.222  68
3.011  75
2.887  59
2.824  99
2.710  23
2.694  17
2.605  100
2.548  26
1.841  29
1.822  19
1.600  36
1.543  22

---

For SmHoMg, a GGA-PBE-relaxed structure gives the calculated powder diffractogram in this record (Cu Kα, 1.54184 Å).

Atomic structure:
```
SmHoMg
1.0
2.592 -6.555 0.000
2.592 6.555 0.000
0.000 0.000 5.194
Sm Ho Mg
2 2 2
direct
0.089 0.911 0.750
0.911 0.089 0.250
0.409 0.591 0.750
0.591 0.409 0.250
0.250 0.750 0.250
0.750 0.250 0.750
```

Principal peaks in the range 2θ from 15° to 90°, by angle:
d (Å)  I_rel
3.534  32
3.277  10
2.810  100
2.595  41
2.185  12
2.034  11
1.835  15
1.672  10
1.670  18
1.536  32
1.405  11
1.354  9

---

For Sm4Ho5Mg, a GGA-PBE-relaxed structure gives the calculated powder diffractogram in this record (Cu Kα, 1.54184 Å).

Atomic structure:
```
Sm4Ho5Mg
1.0
3.587 0.000 0.000
0.000 3.587 0.000
0.000 0.000 24.365
Sm Ho Mg
4 5 1
direct
0.000 0.000 0.103
0.000 0.000 0.310
0.000 0.000 0.690
0.000 0.000 0.897
0.500 0.500 0.000
0.500 0.500 0.207
0.500 0.500 0.412
0.500 0.500 0.588
0.500 0.500 0.793
0.000 0.000 0.500
```

Principal peaks in the range 2θ from 15° to 90°, by angle:
d (Å)  I_rel
3.091  7
2.889  100
2.536  37
2.437  13
1.793  13
1.757  19
1.566  6
1.524  29
1.480  7
1.444  10
1.161  6
1.141  7

---

For Sm12Ho6Mg, a GGA-PBE-relaxed structure gives the calculated powder diffractogram in this record (Cu Kα, 1.54184 Å).

Atomic structure:
```
Sm12Ho6Mg
1.0
6.515 3.762 4.325
-6.515 3.762 4.325
0.000 -7.523 4.325
Sm Ho Mg
12 6 1
direct
0.000 0.261 0.739
0.000 0.739 0.261
0.169 0.582 0.582
0.261 0.000 0.739
0.261 0.739 0.000
0.418 0.418 0.831
0.418 0.831 0.418
0.582 0.169 0.582
0.582 0.582 0.169
0.739 0.000 0.261
0.739 0.261 0.000
0.831 0.418 0.418
0.136 0.136 0.407
0.136 0.407 0.136
0.407 0.136 0.136
0.593 0.864 0.864
0.864 0.593 0.864
0.864 0.864 0.593
0.000 0.000 0.000
```

Principal peaks in the range 2θ from 15° to 90°, by angle:
d (Å)  I_rel
3.564  24
3.117  35
2.838  100
2.818  71
2.757  99
2.587  26
2.539  20
2.529  16
1.875  29
1.610  25
1.565  16
1.509  17